Starting from DFT lattice parameters and positions (PBE), the powder diffractogram of TiReN3 was simulated for Cu Kα.
Kinematic intensities with the Lorentz-polarization factor, no thermal factor.

Largest 10 diffraction maxima, by angle, 10 to 90 degrees two-theta:
2θ/deg	d/Å	Rel. int.	(hkl)
19.2	4.624	100	0 1 1
21.1	4.217	20	1 1 -1
27.2	3.277	22	1 0 -2
28.1	3.180	13	0 0 2
31.1	2.877	18	2 1 0
35.1	2.558	20	1 2 1
37.8	2.383	13	1 1 2
38.3	2.349	20	2 2 -1
42.6	2.122	12	3 0 0
42.7	2.116	30	0 3 1

Atomic structure:
```
data_TiReN3
_chemical_formula_sum 'Ti4 Re4 N12'
_cell_length_a 6.6920
_cell_length_b 6.7329
_cell_length_c 6.6852
_cell_angle_alpha 90.00
_cell_angle_beta 107.97
_cell_angle_gamma 90.00
_space_group_name_H-M_alt 'P 1 21/c 1'
_space_group_IT_number 14
loop_
_space_group_symop_operation_xyz
'x,y,z'
'-x,-y,-z'
'-x,y+1/2,-z+1/2'
'x,-y+1/2,z+1/2'
loop_
_atom_site_label
_atom_site_fract_x
_atom_site_fract_y
_atom_site_fract_z
_atom_site_occupancy
Ti1 0.0301 0.1721 0.3892 1
Re1 0.3476 0.6246 0.9435 1
N1 0.0016 0.1061 0.6753 1
N2 0.2992 0.7447 0.6736 1
N3 0.3407 0.1618 0.4681 1
```